# 1
Calculated X-ray diffraction stick pattern of GaPtBr7 for Cu Kα (λ = 1.5418 Å), from a GGA-PBE-relaxed structure.
Lines closer than 0.1° are merged.

Principal peaks in the range 15 to 90 degrees two-theta, sorted by position:
(hkl)	2θ/deg	d [Å]	I/Imax
0 1 1	15.0	5.887	30
1 0 -2	15.5	5.730	100
0 1 2	18.3	4.837	55
1 1 0	19.1	4.655	60
1 1 2	24.4	3.654	27
1 1 3	28.7	3.115	45
2 1 -1	29.2	3.059	37
1 1 -5	33.1	2.704	32
2 2 -1	38.1	2.360	29
3 0 2	45.1	2.012	24

Crystal structure
```
data_GaPtBr7
_symmetry_space_group_name_H-M 'P 1 c 1'
_symmetry_Int_Tables_number 7
_cell_length_a 6.9574
_cell_length_b 6.4250
_cell_length_c 15.1783
_cell_angle_alpha 90.00
_cell_angle_beta 104.48
_cell_angle_gamma 90.00
loop_
_symmetry_equiv_pos_as_xyz
'x,y,z'
'x,-y,z+1/2'
loop_
_atom_site_label
_atom_site_fract_x
_atom_site_fract_y
_atom_site_fract_z
Ga1 0.0000 0.0066 0.0000
Pt1 0.2432 0.4058 0.6341
Br1 0.1606 0.3847 0.2531
Br2 0.3146 0.1636 0.5078
Br3 0.4664 0.1964 0.7509
Br4 0.5244 0.3739 0.1276
Br5 0.7694 0.1151 0.3728
Br6 0.9510 0.1577 0.6363
Br7 0.9932 0.3782 0.9990
```

=====

# 2
Calculated X-ray diffraction stick pattern of GdTmH2O4 for Cu Kα (λ = 1.5418 Å), from a GGA-PBE-relaxed structure.
Lines closer than 0.1° are merged.

Principal peaks in the range 15 to 90 degrees two-theta, sorted by position:
(hkl)	2θ/deg	d [Å]	I/Imax
0 0 1	15.9	5.581	34
1 0 0	22.0	4.038	29
1 0 -1	22.5	3.960	45
0 1 1	29.6	3.019	100
1 0 1	31.4	2.850	50
1 0 -2	32.3	2.769	33
1 1 0	33.4	2.683	36
1 1 -1	33.7	2.660	53
0 1 2	41.0	2.203	33
1 1 2	52.3	1.750	29

Crystal structure
```
data_GdTmH2O4
_symmetry_space_group_name_H-M 'P 1 m 1'
_symmetry_Int_Tables_number 6
_cell_length_a 4.2841
_cell_length_b 3.5900
_cell_length_c 5.9218
_cell_angle_alpha 90.00
_cell_angle_beta 109.52
_cell_angle_gamma 90.00
loop_
_symmetry_equiv_pos_as_xyz
'x,y,z'
'x,-y,z'
loop_
_atom_site_label
_atom_site_fract_x
_atom_site_fract_y
_atom_site_fract_z
Gd1 0.0000 0.0000 0.0000
Tm1 0.3289 0.5000 0.6189
H1 0.6578 0.0000 0.4101
H2 0.6775 0.5000 0.2289
O1 0.4202 0.0000 0.3801
O2 0.4286 0.0000 0.8560
O3 0.8931 0.5000 0.7490
O4 0.9132 0.5000 0.2525
```